CsK6Rb2Na2: theoretical PXRD pattern (Cu Kα (weighted mean of Kα1 and Kα2)), based on DFT lattice parameters and positions (PBE).
Neutral-atom scattering factors, no anomalous dispersion.

Structural model:
abc: 8.6990 8.7499 11.5105
angles: 78.29 86.08 69.74
Fractional positions:
Cs: 0.0000 0.0000 0.0000
K: 0.1232 0.7424 0.6538
K: 0.3281 0.4712 0.3447
K: 0.3944 0.9485 0.3402
K: 0.6056 0.0515 0.6598
K: 0.6719 0.5288 0.6553
K: 0.8768 0.2576 0.3462
Rb: 0.3326 0.3337 0.9753
Rb: 0.6674 0.6663 0.0247
Na: 0.1289 0.2385 0.6365
Na: 0.8711 0.7615 0.3635

The 10 most intense peaks (2θ = 10–90°), low angle first:
| (hkl) | 2θ/deg | I_rel |
| --- | --- | --- |
| 1 -1 0 | 17.91 | 19 |
| -1 1 1 | 18.69 | 20 |
| 1 -1 1 | 20.43 | 31 |
| 2 1 0 | 20.79 | 32 |
| -1 1 2 | 22.45 | 26 |
| 2 0 1 | 23.19 | 15 |
| 0 0 3 | 23.66 | 100 |
| 1 2 -1 | 23.91 | 51 |
| 2 0 -2 | 26.97 | 22 |
| 0 3 1 | 32.80 | 16 |